No. 1
For LiCd4GaAg, a structure optimized by DFT (GGA-PBE) gives the simulated PXRD pattern in this record (a wavelength of 1.5418 Å).
Peak positions follow from Bragg's law for the DFT cell and can differ from measured ones.

Crystal structure
```
14
Lattice="-2.9440 4.8381 5.3179 2.9440 -4.8381 5.3179 2.9440 4.8381 -5.3179" Properties=species:S:1:pos:R:3 pbc="T T T"
Li 0.0000 0.0000 0.0000
Li 0.0000 4.8381 0.0000
Cd 2.9440 0.1435 1.5553
Cd 1.4902 2.4191 -0.1789
Cd 4.3979 2.4191 -0.1789
Cd 0.0000 0.1435 3.7626
Cd 2.9440 4.6946 1.5553
Cd -1.4539 2.4191 5.4968
Cd 1.4539 2.4191 5.4968
Cd 0.0000 4.6946 3.7626
Ga -1.4720 2.4191 2.6589
Ga 1.4720 2.4191 2.6589
Ag 2.9440 -2.4191 2.7616
Ag 0.0000 7.2572 2.5562
```

Most intense lines, 10 to 80 degrees two-theta, most intense first:
38.6°, I 100
34.9°, I 85
37.2°, I 67
35.7°, I 66
17.2°, I 39
40.9°, I 35

No. 2
For NbVNi14, a structure optimized by DFT (GGA-PBE) gives the simulated PXRD pattern in this record (a wavelength of 1.5418 Å).
Peak positions follow from Bragg's law for the DFT cell and can differ from measured ones.

Crystal structure
```
16
Lattice="5.0742 0.0000 0.0000 0.0000 5.0742 0.0000 0.0000 0.0000 7.0728" Properties=species:S:1:pos:R:3 pbc="T T T"
Nb 0.0000 0.0000 0.0000
V 2.5371 2.5371 0.0000
Ni 0.0000 0.0000 3.5364
Ni 0.0000 2.5371 0.0000
Ni 0.0000 2.5371 3.5364
Ni 1.2895 1.2895 1.7913
Ni 1.2895 1.2895 5.2816
Ni 1.2895 3.7847 1.7913
Ni 1.2895 3.7847 5.2816
Ni 2.5371 0.0000 0.0000
Ni 2.5371 0.0000 3.5364
Ni 2.5371 2.5371 3.5364
Ni 3.7847 1.2895 1.7913
Ni 3.7847 1.2895 5.2816
Ni 3.7847 3.7847 1.7913
Ni 3.7847 3.7847 5.2816
```

Most intense lines, 10 to 80 degrees two-theta, most intense first:
43.9°, I 100
50.9°, I 32
75.5°, I 18
51.7°, I 15
74.8°, I 9
21.6°, I 1

No. 3
For SmB4Ru4, a structure optimized by DFT (GGA-PBE) gives the simulated PXRD pattern in this record (a wavelength of 1.5418 Å).
Peak positions follow from Bragg's law for the DFT cell and can differ from measured ones.

Crystal structure
```
36
Lattice="-3.7668 3.7668 7.5519 3.7668 -3.7668 7.5519 3.7668 3.7668 -7.5519" Properties=species:S:1:pos:R:3 pbc="T T T"
Sm 3.7668 1.8834 -1.8880
Sm 0.0000 1.8834 1.8880
Sm 3.7668 1.8834 5.6639
Sm 0.0000 1.8834 9.4398
B 1.2625 0.8120 -0.6532
B 1.0714 -0.6209 3.1227
B 2.5043 0.8120 0.6532
B 4.8382 -0.6209 4.4292
B 4.8382 0.6209 3.1227
B 2.5043 -0.8120 6.8987
B 1.0714 0.6209 4.4292
B 1.2625 -0.8120 8.2051
B 2.5043 4.5787 -0.6532
B 2.6953 3.1458 3.1227
B 1.2625 4.5787 0.6532
B -1.0714 3.1458 4.4292
B -1.0714 4.3877 3.1227
B 1.2625 2.9548 6.8987
B 2.6953 4.3877 4.4292
B 2.5043 2.9548 8.2051
Ru 6.6633 0.7807 -0.9557
Ru 2.6641 2.7536 -4.7317
Ru 4.6370 0.7807 0.9557
Ru 2.6641 -1.0131 4.7317
Ru 2.6641 1.0131 2.8202
Ru 0.8702 2.9860 -0.9557
Ru 2.6641 4.7799 -2.8202
Ru 2.8965 2.9860 0.9557
Ru 0.8702 0.7807 6.5961
Ru 1.1027 -1.0131 10.3721
Ru 2.8965 0.7807 8.5076
Ru 1.1027 2.7536 4.7317
Ru 1.1027 4.7799 2.8202
Ru -0.8702 2.9860 6.5961
Ru 1.1027 1.0131 12.2836
Ru -2.8965 2.9860 8.5076
```

Most intense lines, 10 to 80 degrees two-theta, most intense first:
39.6°, I 100
32.0°, I 44
40.1°, I 27
70.7°, I 27
33.6°, I 19
64.2°, I 19

No. 4
For SrBi4Pt4, a structure optimized by DFT (GGA-PBE) gives the simulated PXRD pattern in this record (a wavelength of 1.5418 Å).
Peak positions follow from Bragg's law for the DFT cell and can differ from measured ones.

Crystal structure
```
18
Lattice="9.3726 0.0000 0.0000 0.0000 9.3726 0.0000 0.0000 0.0000 5.5958" Properties=species:S:1:pos:R:3 pbc="T T T"
Sr 2.3431 2.3431 1.3990
Sr 7.0294 7.0294 4.1969
Bi 0.9561 5.9074 0.8489
Bi 1.2211 8.4165 3.6469
Bi 3.4652 5.6424 3.6469
Bi 3.7302 8.1515 0.8489
Bi 5.6424 1.2211 4.7469
Bi 5.9074 3.7302 1.9490
Bi 8.1515 0.9561 1.9490
Bi 8.4165 3.4652 4.7469
Pt 0.4426 5.7193 3.6434
Pt 1.0330 8.9300 0.8455
Pt 3.6533 5.1289 0.8455
Pt 4.2437 8.3395 3.6434
Pt 5.1289 1.0330 1.9524
Pt 5.7193 4.2437 4.7503
Pt 8.3395 0.4426 4.7503
Pt 8.9300 3.6533 1.9524
```

Most intense lines, 10 to 80 degrees two-theta, most intense first:
30.2°, I 100
13.4°, I 60
33.4°, I 60
43.4°, I 59
38.2°, I 30
18.9°, I 25

No. 5
For NdCu8Au3, a structure optimized by DFT (GGA-PBE) gives the simulated PXRD pattern in this record (a wavelength of 1.5418 Å).
Peak positions follow from Bragg's law for the DFT cell and can differ from measured ones.

Crystal structure
```
12
Lattice="5.0247 0.0000 0.0000 -2.5124 4.3516 0.0000 0.0000 0.0000 8.2070" Properties=species:S:1:pos:R:3 pbc="T T T"
Nd 0.0000 0.0000 0.0000
Cu 0.0000 1.4456 5.5675
Cu -1.2605 3.6288 5.5675
Cu 0.0000 2.9010 3.5698
Cu 0.0000 2.9010 7.6706
Cu 2.5124 0.0200 1.6262
Cu 1.2735 2.1658 1.6262
Cu 1.2605 3.6288 5.5675
Cu 3.7513 2.1658 1.6262
Au 0.0000 0.0000 3.1284
Au 2.5124 1.4505 4.0859
Au 2.5124 1.4505 7.0734
```

Most intense lines, 10 to 80 degrees two-theta, most intense first:
38.9°, I 100
42.2°, I 97
35.7°, I 67
43.0°, I 55
66.3°, I 41
68.6°, I 26

No. 6
For Pm2Pd5Au4, a structure optimized by DFT (GGA-PBE) gives the simulated PXRD pattern in this record (a wavelength of 1.5418 Å).
Peak positions follow from Bragg's law for the DFT cell and can differ from measured ones.

Crystal structure
```
11
Lattice="0.0000 4.5821 8.9538 2.7677 0.0000 8.9538 2.7677 4.5821 0.0000" Properties=species:S:1:pos:R:3 pbc="T T T"
Pm 2.7677 4.5821 2.2914
Pm 2.7677 4.5821 15.6162
Pd 1.3838 2.2911 0.0000
Pd 1.3838 2.2911 4.4769
Pd 1.3838 2.2911 8.9538
Pd 2.7677 4.5821 8.9538
Pd 4.1515 6.8732 13.4307
Au 2.7677 3.1042 6.6585
Au 2.7677 3.1042 11.2491
Au 2.7677 6.0601 6.6585
Au 2.7677 6.0601 11.2491
```

Most intense lines, 10 to 80 degrees two-theta, most intense first:
38.2°, I 100
36.8°, I 94
33.9°, I 58
40.3°, I 57
42.2°, I 49
19.4°, I 41